Starting from a cell relaxed with PBE, the powder diffraction line list of GdDyB4 was computed for Cu Kα.
Intensities are scaled so that the largest is 100.

Cell and atoms:
```
data_GdDyB4
_chemical_formula_sum 'Gd2 Dy2 B8'
_cell_length_a 3.303
_cell_length_b 5.720
_cell_length_c 7.797
_cell_angle_alpha 90.00
_cell_angle_beta 90.00
_cell_angle_gamma 90.00
_space_group_name_H-M_alt 'I m m m'
_space_group_IT_number 71
_space_group_name_Hall '-I 2 2'
loop_
_atom_site_label
_atom_site_type_symbol
_atom_site_fract_x
_atom_site_fract_y
_atom_site_fract_z
_atom_site_occupancy
Gd1 Gd 0.000 0.000 0.000 1
Dy1 Dy 0.000 0.000 0.500 1
B1 B 0.000 0.333 0.250 1
```

Top 10 peaks for 10° ≤ 2θ ≤ 80°, most intense first:
- 2θ = 39.06°, I = 100
- 2θ = 31.27°, I = 74
- 2θ = 22.81°, I = 47
- 2θ = 57.19°, I = 28
- 2θ = 60.93°, I = 21
- 2θ = 55.66°, I = 19
- 2θ = 70.08°, I = 18
- 2θ = 75.45°, I = 16
- 2θ = 46.60°, I = 11
- 2θ = 65.24°, I = 9